For Li5TbPb6, a structure optimized by DFT (PBE) gives the simulated X-ray diffraction stick pattern in this record (λ = 1.5418 Å (Cu Kα)).
Intensities are scaled so that the largest is 100.

Principal peaks in the range 2θ = 15–90°, in order of rising 2θ:
- hkl 1 0 1, 23.78 deg, rel. 70
- hkl 1 0 -2, 24.79 deg, rel. 69
- hkl 0 2 0, 25.05 deg, rel. 65
- hkl 0 0 3, 34.56 deg, rel. 53
- hkl 2 0 -1, 34.68 deg, rel. 50
- hkl 1 2 1, 34.81 deg, rel. 99
- hkl 1 2 -2, 35.54 deg, rel. 100
- hkl 0 2 3, 43.16 deg, rel. 31
- hkl 2 2 -1, 43.26 deg, rel. 28
- hkl 1 2 -5, 63.03 deg, rel. 19

Structure:
```
data_Li5TbPb6
_chemical_formula_sum 'Li5 Tb1 Pb6'
_cell_length_a 5.1773
_cell_length_b 7.1092
_cell_length_c 8.1095
_cell_angle_alpha 90.00
_cell_angle_beta 106.25
_cell_angle_gamma 90.00
_space_group_name_H-M_alt 'P 1 2/m 1'
_space_group_IT_number 10
_space_group_name_Hall '-P 2y'
loop_
_atom_site_label
_atom_site_fract_x
_atom_site_fract_y
_atom_site_fract_z
Li1 0.0000 0.0000 0.0000
Li2 0.2846 0.0000 0.6613
Li3 0.3154 0.5000 0.6780
Tb1 0.0000 0.5000 0.0000
Pb1 0.2052 0.2454 0.3479
Pb2 0.5000 0.2276 0.0000
```

For Li3TbPb2, a structure optimized by DFT (PBE) gives the simulated X-ray diffraction stick pattern in this record (λ = 1.5418 Å (Cu Kα)).
Intensities are scaled so that the largest is 100.

Principal peaks in the range 2θ = 15–90°, in order of rising 2θ:
- hkl 1 1 0, 21.36 deg, rel. 52
- hkl 1 1 2, 24.61 deg, rel. 85
- hkl 1 0 2, 27.70 deg, rel. 45
- hkl -1 1 1, 28.15 deg, rel. 59
- hkl 1 2 2, 28.28 deg, rel. 55
- hkl 0 2 -1, 32.22 deg, rel. 52
- hkl 0 2 3, 34.85 deg, rel. 45
- hkl 1 0 3, 36.70 deg, rel. 76
- hkl 1 1 -2, 36.77 deg, rel. 100
- hkl 2 1 1, 38.20 deg, rel. 54

Structure:
```
data_Li3TbPb2
_chemical_formula_sum 'Li6 Tb2 Pb4'
_cell_length_a 4.7122
_cell_length_b 7.6241
_cell_length_c 8.7835
_cell_angle_alpha 65.86
_cell_angle_beta 74.57
_cell_angle_gamma 72.28
_space_group_name_H-M_alt 'P -1'
_space_group_IT_number 2
_space_group_name_Hall '-P 1'
loop_
_atom_site_label
_atom_site_fract_x
_atom_site_fract_y
_atom_site_fract_z
Li1 0.0467 0.2828 0.1154
Li2 0.2746 0.9076 0.0446
Li3 0.4022 0.5137 0.1808
Tb1 0.1375 0.7461 0.4775
Pb1 0.2102 0.3102 0.7686
Pb2 0.4622 0.8908 0.6977
```

For Li4Tb3Pb4, a structure optimized by DFT (PBE) gives the simulated X-ray diffraction stick pattern in this record (λ = 1.5418 Å (Cu Kα)).
Intensities are scaled so that the largest is 100.

Principal peaks in the range 2θ = 15–90°, in order of rising 2θ:
- hkl 1 1 0, 22.65 deg, rel. 15
- hkl 1 0 3, 25.90 deg, rel. 47
- hkl 0 2 2, 27.19 deg, rel. 26
- hkl 1 2 1, 31.77 deg, rel. 100
- hkl 1 1 4, 32.71 deg, rel. 74
- hkl 2 0 0, 38.60 deg, rel. 29
- hkl 1 2 5, 43.28 deg, rel. 31
- hkl 0 3 5, 47.90 deg, rel. 30
- hkl 2 3 5, 63.16 deg, rel. 16
- hkl 1 2 9, 63.71 deg, rel. 19

Structure:
```
data_Li4Tb3Pb4
_chemical_formula_sum 'Li8 Tb6 Pb8'
_cell_length_a 4.6654
_cell_length_b 7.2642
_cell_length_c 15.2786
_cell_angle_alpha 90.00
_cell_angle_beta 90.00
_cell_angle_gamma 90.00
_space_group_name_H-M_alt 'I m m m'
_space_group_IT_number 71
_space_group_name_Hall '-I 2 2'
loop_
_atom_site_label
_atom_site_fract_x
_atom_site_fract_y
_atom_site_fract_z
Li1 0.0000 0.1895 0.1741
Tb1 0.0000 0.0000 0.3739
Tb2 0.0000 0.5000 0.5000
Pb1 0.0000 0.2911 0.0000
Pb2 0.0000 0.5000 0.2848
```

For Li4TbPb, a structure optimized by DFT (PBE) gives the simulated X-ray diffraction stick pattern in this record (λ = 1.5418 Å (Cu Kα)).
Intensities are scaled so that the largest is 100.

Principal peaks in the range 2θ = 15–90°, in order of rising 2θ:
- hkl 1 1 1, 19.34 deg, rel. 100
- hkl 2 2 0, 31.84 deg, rel. 96
- hkl 3 1 1, 37.53 deg, rel. 68
- hkl 4 0 0, 45.65 deg, rel. 16
- hkl 3 3 1, 50.01 deg, rel. 26
- hkl 4 2 2, 56.73 deg, rel. 38
- hkl 5 1 1, 60.52 deg, rel. 23
- hkl 4 4 0, 66.54 deg, rel. 13
- hkl 5 3 1, 70.02 deg, rel. 19
- hkl 6 2 0, 75.67 deg, rel. 17

Structure:
```
data_Li4TbPb
_chemical_formula_sum 'Li16 Tb4 Pb4'
_cell_length_a 7.9491
_cell_length_b 7.9491
_cell_length_c 7.9491
_cell_angle_alpha 90.00
_cell_angle_beta 90.00
_cell_angle_gamma 90.00
_space_group_name_H-M_alt 'F -4 3 m'
_space_group_IT_number 216
_space_group_name_Hall 'F -4 2 3'
loop_
_atom_site_label
_atom_site_fract_x
_atom_site_fract_y
_atom_site_fract_z
Li1 0.1246 0.1246 0.1246
Tb1 0.2500 0.2500 0.7500
Pb1 0.0000 0.0000 0.5000
```